1.
# Pa3Mn7Cu2
Computed powder XRD pattern, a wavelength of 1.5418 Å. Input: a PBE-relaxed structure.
Intensities are scaled so that the largest is 100.

Structure:
a b c (Å): 8.7513 8.7513 8.7513
angles (deg): 33.49 33.49 33.49
Positions (direct):
1 Pa 0.0000 0.0000 0.0000
2 Pa 0.1391 0.1391 0.1391
3 Pa 0.8609 0.8609 0.8609
4 Mn 0.0809 0.5861 0.5861
5 Mn 0.4139 0.4139 0.9191
6 Mn 0.4139 0.9191 0.4139
7 Mn 0.5000 0.5000 0.5000
8 Mn 0.5861 0.0809 0.5861
9 Mn 0.5861 0.5861 0.0809
10 Mn 0.9191 0.4139 0.4139
11 Cu 0.3339 0.3339 0.3339
12 Cu 0.6661 0.6661 0.6661

Largest 12 diffraction maxima, low angle first, 2θ from 5° to 70°:
2θ/deg	I (rel.)
20.65	33
21.54	13
32.58	58
35.59	100
41.52	32
41.99	85
43.94	14
45.35	16
62.05	18
63.94	25
67.87	16
68.33	19

---

2.
# TmGa2Pd4
Computed powder XRD pattern, a wavelength of 1.5418 Å. Input: a PBE-relaxed structure.
Intensities are scaled so that the largest is 100.

Structure:
a b c (Å): 7.8545 7.8545 3.9138
angles (deg): 90.00 90.00 90.00
Positions (direct):
1 Tm 0.0000 0.0000 0.0000
2 Tm 0.5000 0.5000 0.5000
3 Ga 0.2237 0.2237 0.5000
4 Ga 0.2763 0.7237 0.0000
5 Ga 0.7237 0.2763 0.0000
6 Ga 0.7763 0.7763 0.5000
7 Pd 0.0770 0.6728 0.5000
8 Pd 0.1728 0.4230 0.0000
9 Pd 0.3272 0.9230 0.5000
10 Pd 0.4230 0.1728 0.0000
11 Pd 0.5770 0.8272 0.0000
12 Pd 0.6728 0.0770 0.5000
13 Pd 0.8272 0.5770 0.0000
14 Pd 0.9230 0.3272 0.5000

Largest 12 diffraction maxima, low angle first, 2θ from 5° to 70°:
2θ/deg	I (rel.)
32.24	6
34.30	100
36.16	38
39.80	25
41.45	6
43.14	39
46.40	23
47.74	20
53.50	7
60.20	17
63.84	26
68.74	20

---

3.
# Fe2Cu3Ni8
Computed powder XRD pattern, a wavelength of 1.5418 Å. Input: a PBE-relaxed structure.
Intensities are scaled so that the largest is 100.

Structure:
a b c (Å): 9.2176 9.2176 9.2176
angles (deg): 28.70 28.70 28.70
Positions (direct):
1 Fe 0.1402 0.1402 0.1402
2 Fe 0.8598 0.8598 0.8598
3 Cu 0.3174 0.3174 0.3174
4 Cu 0.5000 0.5000 0.5000
5 Cu 0.6826 0.6826 0.6826
6 Ni 0.2255 0.2255 0.2255
7 Ni 0.2325 0.2325 0.7302
8 Ni 0.2325 0.7302 0.2325
9 Ni 0.2698 0.7675 0.7675
10 Ni 0.7302 0.2325 0.2325
11 Ni 0.7675 0.2698 0.7675
12 Ni 0.7675 0.7675 0.2698
13 Ni 0.7745 0.7745 0.7745

Largest 12 diffraction maxima, low angle first, 2θ from 5° to 70°:
2θ/deg	I (rel.)
20.11	15
32.74	13
39.44	44
40.81	17
44.01	100
44.66	42
46.41	78
47.99	37
49.16	25
50.36	21
50.57	24
53.99	14

---

4.
# SmDy3Ru2
Computed powder XRD pattern, a wavelength of 1.5418 Å. Input: a PBE-relaxed structure.
Intensities are scaled so that the largest is 100.

Structure:
a b c (Å): 4.4222 8.8284 7.4699
angles (deg): 90.00 90.00 90.00
Positions (direct):
1 Sm 0.0000 0.0837 0.0000
2 Sm 0.0000 0.9163 0.5000
3 Dy 0.0000 0.3243 0.6286
4 Dy 0.0000 0.6757 0.1286
5 Dy 0.5000 0.1812 0.3357
6 Dy 0.5000 0.4165 0.9624
7 Dy 0.5000 0.5835 0.4624
8 Dy 0.5000 0.8188 0.8357
9 Ru 0.0000 0.3596 0.2352
10 Ru 0.0000 0.6404 0.7352
11 Ru 0.5000 0.1450 0.7286
12 Ru 0.5000 0.8550 0.2286

Largest 12 diffraction maxima, low angle first, 2θ from 5° to 70°:
2θ/deg	I (rel.)
31.03	100
31.36	55
32.71	30
32.99	87
36.68	44
37.53	38
40.83	58
41.64	19
53.26	24
56.64	18
59.75	39
66.96	17

---

5.
# CoAgIr
Computed powder XRD pattern, a wavelength of 1.5418 Å. Input: a PBE-relaxed structure.
Intensities are scaled so that the largest is 100.

Structure:
a b c (Å): 5.0992 5.0992 5.0992
angles (deg): 148.96 139.10 52.22
Positions (direct):
1 Co 0.0000 0.0000 0.0000
2 Ag 0.3153 0.3153 0.0000
3 Ir 0.6211 0.6211 0.0000

Largest 12 diffraction maxima, low angle first, 2θ from 5° to 70°:
2θ/deg	I (rel.)
19.39	27
26.85	33
34.29	18
38.85	100
39.36	14
41.69	92
44.53	68
46.36	12
51.28	25
58.67	18
60.68	9
68.80	10

---

6.
# GaRh3O6
Computed powder XRD pattern, a wavelength of 1.5418 Å. Input: a PBE-relaxed structure.
Intensities are scaled so that the largest is 100.

Structure:
a b c (Å): 6.1681 6.1681 3.1288
angles (deg): 90.00 90.00 108.86
Positions (direct):
1 Ga 0.0000 0.0000 0.0000
2 Rh 0.0000 0.5000 0.5000
3 Rh 0.5000 0.0000 0.5000
4 Rh 0.5000 0.5000 0.0000
5 O 0.1382 0.8618 0.5000
6 O 0.1687 0.4267 0.0000
7 O 0.4267 0.1687 0.0000
8 O 0.5733 0.8313 0.0000
9 O 0.8313 0.5733 0.0000
10 O 0.8618 0.1382 0.5000

Largest 12 diffraction maxima, low angle first, 2θ from 5° to 70°:
2θ/deg	I (rel.)
30.63	100
33.76	79
35.80	19
38.16	34
50.90	15
53.32	59
59.05	11
61.14	14
62.48	26
63.03	12
63.78	9
67.99	20

---

7.
# Cs3Sb5S9
Computed powder XRD pattern, a wavelength of 1.5418 Å. Input: a PBE-relaxed structure.
Intensities are scaled so that the largest is 100.

Structure:
a b c (Å): 13.6512 13.6512 9.4829
angles (deg): 95.75 95.75 139.75
Positions (direct):
1 Cs 0.0549 0.4863 0.7417
2 Cs 0.0812 0.9188 0.0000
3 Cs 0.4863 0.0549 0.7417
4 Cs 0.5137 0.9451 0.2583
5 Cs 0.9188 0.0812 0.0000
6 Cs 0.9451 0.5137 0.2583
7 Sb 0.0769 0.9231 0.5000
8 Sb 0.2193 0.4634 0.3406
9 Sb 0.3690 0.3690 0.6189
10 Sb 0.4264 0.5736 0.0000
11 Sb 0.4634 0.2193 0.3406
12 Sb 0.5366 0.7807 0.6594
13 Sb 0.5736 0.4264 0.0000
14 Sb 0.6310 0.6310 0.3811
15 Sb 0.7807 0.5366 0.6594
16 Sb 0.9231 0.0769 0.5000
17 S 0.0565 0.7462 0.6542
18 S 0.1329 0.1329 0.3840
19 S 0.1833 0.4975 0.1031
20 S 0.1934 0.3416 0.7305
21 S 0.2538 0.9435 0.3458
22 S 0.3084 0.6916 0.5000
23 S 0.3416 0.1934 0.7305
24 S 0.3778 0.3778 0.1201
25 S 0.4975 0.1833 0.1031
26 S 0.5025 0.8167 0.8969
27 S 0.6222 0.6222 0.8799
28 S 0.6584 0.8066 0.2695
29 S 0.6916 0.3084 0.5000
30 S 0.7462 0.0565 0.6542
31 S 0.8066 0.6584 0.2695
32 S 0.8167 0.5025 0.8969
33 S 0.8671 0.8671 0.6160
34 S 0.9435 0.2538 0.3458

Largest 12 diffraction maxima, low angle first, 2θ from 5° to 70°:
2θ/deg	I (rel.)
6.90	42
20.78	67
20.94	77
23.47	100
27.04	68
29.55	34
30.06	57
31.55	89
31.86	50
45.62	29
47.06	33
48.00	37

---

8.
# K3AuSe4
Computed powder XRD pattern, a wavelength of 1.5418 Å. Input: a PBE-relaxed structure.
Intensities are scaled so that the largest is 100.

Structure:
a b c (Å): 6.4570 8.8246 11.4887
angles (deg): 90.00 124.16 90.00
Positions (direct):
1 K 0.0000 0.0190 0.0000
2 K 0.0000 0.9810 0.5000
3 K 0.4692 0.3751 0.7378
4 K 0.4692 0.6249 0.2378
5 K 0.9944 0.3785 0.2622
6 K 0.9944 0.6215 0.7622
7 Au 0.4914 0.1039 0.9981
8 Au 0.4914 0.8961 0.4981
9 Se 0.4067 0.3712 0.0012
10 Se 0.4067 0.6288 0.5012
11 Se 0.4979 0.2425 0.2757
12 Se 0.4979 0.7575 0.7757
13 Se 0.5305 0.1719 0.4986
14 Se 0.5305 0.8281 0.9986
15 Se 0.9416 0.2381 0.7211
16 Se 0.9416 0.7619 0.2211

Largest 12 diffraction maxima, low angle first, 2θ from 5° to 70°:
2θ/deg	I (rel.)
10.02	26
16.60	100
17.02	29
19.43	19
21.23	33
29.46	19
30.94	20
31.45	22
31.85	18
33.54	84
37.85	25
38.60	24